# MgAs2OsSe
Computed X-ray diffraction stick pattern, Cu Kα (λ = 1.5418 Å). Input: the PBE geometry in Alexandria.

Structure:
Cell lengths 4.644, 4.644, 5.668 Å; angles 90.00, 90.00, 90.00 degrees
Sites, in units of the cell vectors:
Mg: 0.000 0.000 0.000
As: 0.000 0.500 0.500
As: 0.500 0.000 0.500
Os: 0.500 0.500 0.500
Se: 0.500 0.500 0.000

Most intense lines, 10 to 90 degrees two-theta, by intensity:
two_theta  intensity
19.11  100
15.63  75
38.78  58
31.56  57
50.84  53
37.17  38
42.07  35
24.79  32
65.73  25
54.80  25
43.58  24
56.01  20



# NdThTeOs
Computed X-ray diffraction stick pattern, Cu Kα (λ = 1.5418 Å). Input: the PBE geometry in Alexandria.

Structure:
Cell lengths 7.946, 7.946, 7.946 Å; angles 30.84, 30.84, 30.84 degrees
Sites, in units of the cell vectors:
Nd: 0.000 0.000 0.000
Th: 0.802 0.802 0.802
Te: 0.236 0.236 0.236
Os: 0.407 0.407 0.407

Most intense lines, 10 to 90 degrees two-theta, by intensity:
two_theta  intensity
31.41  100
42.80  51
25.58  37
11.70  30
37.05  26
71.29  22
54.04  22
47.13  21
29.04  12
66.35  11
81.51  9
78.40  9



# K2SiH4N2O2
Computed X-ray diffraction stick pattern, Cu Kα (λ = 1.5418 Å). Input: the PBE geometry in Alexandria.

Structure:
Cell lengths 6.848, 10.039, 7.684 Å; angles 90.00, 90.70, 90.00 degrees
Sites, in units of the cell vectors:
K: 0.149 0.062 0.339
K: 0.149 0.438 0.839
K: 0.160 0.695 0.519
K: 0.160 0.805 0.019
K: 0.840 0.195 0.981
K: 0.840 0.305 0.481
K: 0.851 0.562 0.161
K: 0.851 0.938 0.661
Si: 0.286 0.076 0.752
Si: 0.286 0.424 0.252
Si: 0.714 0.576 0.748
Si: 0.714 0.924 0.248
H: 0.245 0.184 0.031
H: 0.245 0.316 0.531
H: 0.400 0.059 0.051
H: 0.400 0.441 0.551
H: 0.447 0.620 0.938
H: 0.447 0.880 0.438
H: 0.452 0.734 0.782
H: 0.452 0.766 0.282
H: 0.548 0.234 0.718
H: 0.548 0.266 0.218
H: 0.553 0.120 0.562
H: 0.553 0.380 0.062
H: 0.600 0.559 0.449
H: 0.600 0.941 0.949
H: 0.755 0.684 0.469
H: 0.755 0.816 0.969
N: 0.279 0.090 0.983
N: 0.279 0.410 0.483
N: 0.477 0.635 0.809
N: 0.477 0.865 0.309
N: 0.523 0.135 0.691
N: 0.523 0.365 0.191
N: 0.721 0.590 0.517
N: 0.721 0.910 0.017
O: 0.108 0.169 0.679
O: 0.108 0.331 0.179
O: 0.274 0.579 0.194
O: 0.274 0.921 0.694
O: 0.726 0.079 0.306
O: 0.726 0.421 0.806
O: 0.892 0.669 0.821
O: 0.892 0.831 0.321

Most intense lines, 10 to 90 degrees two-theta, by intensity:
two_theta  intensity
29.73  100
36.19  79
26.03  55
36.05  55
28.21  52
33.88  50
12.93  50
29.27  50
39.77  44
24.79  41
30.05  39
40.07  33



# DyY2ScS6
Computed X-ray diffraction stick pattern, Cu Kα (λ = 1.5418 Å). Input: the PBE geometry in Alexandria.

Structure:
Cell lengths 7.248, 7.248, 7.248 Å; angles 56.06, 56.06, 56.06 degrees
Sites, in units of the cell vectors:
Dy: 0.000 0.000 0.000
Y: 0.297 0.297 0.297
Y: 0.800 0.800 0.800
Sc: 0.496 0.496 0.496
S: 0.111 0.701 0.396
S: 0.220 0.603 0.878
S: 0.396 0.111 0.701
S: 0.603 0.878 0.220
S: 0.701 0.396 0.111
S: 0.878 0.220 0.603

Most intense lines, 10 to 90 degrees two-theta, by intensity:
two_theta  intensity
39.71  100
24.66  94
26.16  80
46.16  61
30.06  55
17.90  52
36.26  51
45.26  47
15.79  35
52.46  32
62.49  24
81.11  20



# LaCuPd4
Computed X-ray diffraction stick pattern, Cu Kα (λ = 1.5418 Å). Input: the PBE geometry in Alexandria.

Structure:
Cell lengths 7.532, 4.126, 6.952 Å; angles 90.00, 90.00, 90.00 degrees
Sites, in units of the cell vectors:
La: 0.250 0.000 0.149
La: 0.750 0.000 0.851
Cu: 0.250 0.000 0.733
Cu: 0.750 0.000 0.267
Pd: 0.000 0.000 0.500
Pd: 0.052 0.500 0.807
Pd: 0.250 0.500 0.463
Pd: 0.448 0.500 0.807
Pd: 0.500 0.000 0.500
Pd: 0.552 0.500 0.193
Pd: 0.750 0.500 0.537
Pd: 0.948 0.500 0.193

Most intense lines, 10 to 90 degrees two-theta, by intensity:
two_theta  intensity
34.74  100
41.58  99
43.89  44
35.82  44
38.86  36
60.04  20
48.34  19
38.11  18
79.08  14
67.33  13
32.18  13
40.74  12



# Nd5Sm3Cd2
Computed X-ray diffraction stick pattern, Cu Kα (λ = 1.5418 Å). Input: the PBE geometry in Alexandria.

Structure:
Cell lengths 10.066, 10.066, 6.656 Å; angles 91.09, 91.09, 107.02 degrees
Sites, in units of the cell vectors:
Nd: 0.008 0.693 0.400
Nd: 0.033 0.967 0.750
Nd: 0.196 0.299 0.033
Nd: 0.299 0.196 0.533
Nd: 0.307 0.992 0.100
Nd: 0.693 0.008 0.900
Nd: 0.701 0.804 0.467
Nd: 0.804 0.701 0.967
Nd: 0.967 0.033 0.250
Nd: 0.992 0.307 0.600
Sm: 0.143 0.629 0.915
Sm: 0.371 0.857 0.585
Sm: 0.461 0.539 0.750
Sm: 0.539 0.461 0.250
Sm: 0.629 0.143 0.415
Sm: 0.857 0.371 0.085
Cd: 0.248 0.539 0.385
Cd: 0.461 0.752 0.115
Cd: 0.539 0.248 0.885
Cd: 0.752 0.461 0.615

Most intense lines, 10 to 90 degrees two-theta, by intensity:
two_theta  intensity
31.74  100
31.18  53
31.89  48
32.32  44
30.63  43
47.23  19
55.84  16
43.94  14
63.13  13
62.66  13
44.60  12
57.42  10



> What is the formula in the fifth record?

LaCuPd4



> Which formula does entry 6 have?

Nd5Sm3Cd2